Simulated XRD peak list
Compound: RbIn2CuS4
Radiation: Cu Kα X-rays
Structure: a GGA-PBE-relaxed structure
Lines closer than 0.1° are merged.

Cell and atoms:
Cell lengths 7.3933, 7.3909, 5.9925 Å; angles 66.11, 66.07, 47.82 degrees
Sites, in units of the cell vectors:
Rb  0.0000  0.0000  0.0000
In  0.2504  0.2504  0.2496
In  0.7504  0.7504  0.7496
Cu  0.5005  0.5005  0.4995
S  0.1642  0.5606  0.4394
S  0.4399  0.8368  0.5601
S  0.5606  0.1642  0.8358
S  0.8368  0.4399  0.1632

Most intense lines, 2θ = 15–90°, sorted by position:
- 25.66 deg, I 100
- 29.49 deg, I 7
- 29.82 deg, I 16
- 42.44 deg, I 37
- 42.68 deg, I 17
- 50.04 deg, I 16
- 50.46 deg, I 29
- 52.73 deg, I 8
- 67.83 deg, I 10
- 77.97 deg, I 8